[1]
# Pm6Ge2As3S
Simulated powder diffractogram, a wavelength of 1.5418 Å. Input: a structure optimized by DFT (GGA-PBE).

Atomic structure:
abc: 18.3819 4.1880 8.4767
angles: 90.00 103.18 90.00
Space group C2/m (No. 12)
Inequivalent atoms, fractional coordinates:
Pm  0.0000  0.0000  0.2490 x4
Pm  0.1648  0.5000  0.0802 x4
Pm  0.1657  0.5000  0.5860 x4
Ge  0.1658  0.0000  0.3318 x4
As  0.0000  0.5000  0.5000 x2
As  0.1654  0.0000  0.8344 x4
S  0.0000  0.5000  0.0000 x2

Main lines, sorted by position (2θ = 15–90°):
(2 0 2), 2θ = 25.8°, I = 12; (3 1 0), 2θ = 26.0°, I = 12; (6 0 0), 2θ = 30.0°, I = 100; (2 0 -4), 2θ = 42.7°, I = 13; (5 1 2), 2θ = 42.9°, I = 50; (0 2 0), 2θ = 43.2°, I = 12; (6 2 0), 2θ = 53.5°, I = 13; (2 2 -4), 2θ = 62.3°, I = 12; (4 2 4), 2θ = 70.6°, I = 11; (8 2 -4), 2θ = 70.7°, I = 11

=====

[2]
# Li2PuRuO6
Simulated powder diffractogram, a wavelength of 1.5418 Å. Input: a structure optimized by DFT (GGA-PBE).

Atomic structure:
abc: 5.8140 5.8140 3.9573
angles: 90.00 90.00 90.00
Space group P4mm (No. 99)
Inequivalent atoms, fractional coordinates:
Li  0.0000  0.5000  0.0000 x2
Pu  0.0000  0.0000  0.9429 x1
Ru  0.5000  0.5000  0.9487 x1
O  0.0000  0.0000  0.4442 x1
O  0.2538  0.2538  0.9543 x4
O  0.5000  0.5000  0.4519 x1

Main lines, sorted by position (2θ = 15–90°):
(1 0 0), 2θ = 15.2°, I = 25; (1 1 0), 2θ = 21.6°, I = 100; (0 0 1), 2θ = 22.5°, I = 51; (2 0 0), 2θ = 30.8°, I = 31; (1 1 1), 2θ = 31.4°, I = 52; (2 0 1), 2θ = 38.4°, I = 22; (2 2 0), 2θ = 44.1°, I = 23; (3 1 0), 2θ = 49.6°, I = 22; (2 2 1), 2θ = 50.0°, I = 23; (3 1 1), 2θ = 55.1°, I = 22

=====

[3]
# VFeOsI2
Simulated powder diffractogram, a wavelength of 1.5418 Å. Input: a structure optimized by DFT (GGA-PBE).

Atomic structure:
abc: 5.3176 5.3176 4.6183
angles: 90.00 90.00 90.00
Space group P4/mmm (No. 123)
Inequivalent atoms, fractional coordinates:
V  0.0000  0.0000  0.0000 x1
Fe  0.0000  0.0000  0.5000 x1
Os  0.5000  0.5000  0.5000 x1
I  0.0000  0.5000  0.0000 x2

Main lines, sorted by position (2θ = 15–90°):
(1 0 1), 2θ = 25.5°, I = 25; (1 1 1), 2θ = 30.7°, I = 100; (2 0 0), 2θ = 33.7°, I = 59; (0 0 2), 2θ = 39.0°, I = 20; (2 1 1), 2θ = 42.8°, I = 14; (2 2 0), 2θ = 48.4°, I = 21; (2 0 2), 2θ = 52.5°, I = 33; (3 1 1), 2θ = 58.4°, I = 32; (2 2 2), 2θ = 63.8°, I = 18; (1 1 3), 2θ = 65.5°, I = 11

=====

[4]
# Sm5Ga2Os
Simulated powder diffractogram, a wavelength of 1.5418 Å. Input: a structure optimized by DFT (GGA-PBE).

Atomic structure:
abc: 7.6964 12.0722 4.6444
angles: 90.00 90.00 90.00
Space group Pbam (No. 55)
Inequivalent atoms, fractional coordinates:
Sm  0.0000  0.0000  0.0000 x2
Sm  0.1485  0.2926  0.0000 x4
Sm  0.1854  0.5759  0.5000 x4
Ga  0.0690  0.8332  0.5000 x4
Os  0.0000  0.5000  0.0000 x2

Main lines, sorted by position (2θ = 15–90°):
(1 2 1), 2θ = 26.8°, I = 47; (2 0 1), 2θ = 30.2°, I = 26; (2 1 1), 2θ = 31.1°, I = 83; (1 4 0), 2θ = 31.8°, I = 48; (2 3 0), 2θ = 32.2°, I = 29; (2 2 1), 2θ = 33.7°, I = 100; (0 4 1), 2θ = 35.5°, I = 55; (0 0 2), 2θ = 38.8°, I = 60; (2 6 0), 2θ = 51.2°, I = 34; (4 2 1), 2θ = 53.8°, I = 31

=====

[5]
# Zr7Tl3Pb
Simulated powder diffractogram, a wavelength of 1.5418 Å. Input: a structure optimized by DFT (GGA-PBE).

Atomic structure:
abc: 5.4796 9.3158 10.7318
angles: 90.00 90.00 90.00
Space group Immm (No. 71)
Inequivalent atoms, fractional coordinates:
Zr  0.0000  0.0000  0.0000 x2
Zr  0.0000  0.1847  0.5000 x4
Zr  0.0000  0.3288  0.2372 x8
Tl  0.0000  0.0000  0.2706 x4
Tl  0.0000  0.5000  0.0000 x2
Pb  0.0000  0.5000  0.5000 x2

Main lines, sorted by position (2θ = 15–90°):
(0 2 0), 2θ = 19.1°, I = 27; (1 1 2), 2θ = 25.1°, I = 35; (2 0 0), 2θ = 32.7°, I = 49; (0 0 4), 2θ = 33.4°, I = 42; (1 3 2), 2θ = 37.3°, I = 100; (2 0 4), 2θ = 47.4°, I = 31; (2 4 0), 2θ = 51.5°, I = 14; (3 3 2), 2θ = 61.4°, I = 25; (1 3 6), 2θ = 62.3°, I = 18; (2 6 4), 2θ = 79.4°, I = 13

=====

[6]
# NaAgPRu
Simulated powder diffractogram, a wavelength of 1.5418 Å. Input: a structure optimized by DFT (GGA-PBE).

Atomic structure:
abc: 3.9590 3.9590 10.4318
angles: 90.00 90.00 90.00
Space group P4/nmm (No. 129, origin choice 2)
Inequivalent atoms, fractional coordinates:
Na  0.2500  0.2500  0.2480 x2
Ag  0.2500  0.7500  0.0000 x2
P  0.2500  0.2500  0.6173 x2
Ru  0.2500  0.7500  0.5000 x2

Main lines, sorted by position (2θ = 15–90°):
(0 0 2), 2θ = 17.0°, I = 100; (1 1 0), 2θ = 32.0°, I = 29; (0 0 4), 2θ = 34.4°, I = 25; (1 1 2), 2θ = 36.4°, I = 88; (2 0 0), 2θ = 45.8°, I = 29; (1 1 4), 2θ = 47.7°, I = 35; (2 0 2), 2θ = 49.2°, I = 24; (2 0 4), 2θ = 58.5°, I = 18; (1 1 6), 2θ = 62.9°, I = 18; (3 1 2), 2θ = 78.6°, I = 17

=====

[7]
# LaCePmY2
Simulated powder diffractogram, a wavelength of 1.5418 Å. Input: a structure optimized by DFT (GGA-PBE).

Atomic structure:
abc: 8.6509 6.4189 6.1679
angles: 90.00 96.81 90.00
Space group P2/c (No. 13)
Inequivalent atoms, fractional coordinates:
La  0.0000  0.0000  0.0000 x2
Ce  0.0000  0.4548  0.2500 x2
Pm  0.5000  0.1679  0.2500 x2
Y  0.3102  0.3224  0.7150 x4

Main lines, sorted by position (2θ = 15–90°):
(2 0 0), 2θ = 20.7°, I = 58; (2 1 -1), 2θ = 27.7°, I = 46; (0 0 2), 2θ = 29.2°, I = 30; (1 2 0), 2θ = 29.7°, I = 100; (2 1 1), 2θ = 30.2°, I = 52; (0 1 2), 2θ = 32.4°, I = 33; (1 2 -1), 2θ = 32.6°, I = 35; (1 1 -2), 2θ = 33.0°, I = 35; (1 1 2), 2θ = 35.2°, I = 44; (3 1 -2), 2θ = 43.0°, I = 37